Structure and computed powder X-ray diffraction pattern of Nd7Dy2 (a PBE-relaxed structure; Cu Kα (λ = 1.5418 Å)).
Kinematic intensities with the Lorentz-polarization factor, no thermal factor.

Peak list (8 most intense, 2θ from 15° to 90°, most intense first)
Position (°2θ)  I_rel
30.98  100
30.72  72
60.90  29
32.45  24
44.19  23
54.94  20
52.69  18
37.22  18

Structural model:
```
Nd7Dy2
1.0
9.9990 0.0000 0.0000
-4.9995 8.6594 0.0000
0.0000 0.0000 3.5801
Nd Dy
7 2
Direct
0.0000 0.0000 0.0000
0.0000 0.3609 0.0000
0.0000 0.6911 0.5000
0.3089 0.3089 0.5000
0.3609 0.0000 0.0000
0.6391 0.6391 0.0000
0.6911 0.0000 0.5000
0.3333 0.6667 0.5000
0.6667 0.3333 0.5000
```

=====

Structure and computed powder X-ray diffraction pattern of Nd5Dy (a PBE-relaxed structure; Cu Kα (λ = 1.5418 Å)).
Kinematic intensities with the Lorentz-polarization factor, no thermal factor.

Peak list (8 most intense, 2θ from 15° to 90°, most intense first)
Position (°2θ)  I_rel
29.92  100
34.72  34
49.85  30
59.30  29
34.61  17
81.00  15
59.15  15
62.17  12

Structural model:
```
Nd5Dy
1.0
5.1833 0.0000 0.0000
0.0000 10.9545 0.0000
0.0000 0.0000 7.3121
Nd Dy
10 2
Direct
0.2500 0.0832 0.1239
0.2500 0.0846 0.6263
0.2500 0.4154 0.6263
0.2500 0.4168 0.1239
0.2500 0.7500 0.6260
0.7500 0.2500 0.3740
0.7500 0.5832 0.8761
0.7500 0.5846 0.3737
0.7500 0.9154 0.3737
0.7500 0.9168 0.8761
0.2500 0.7500 0.1234
0.7500 0.2500 0.8766
```

=====

Structure and computed powder X-ray diffraction pattern of Nd6Dy7 (a PBE-relaxed structure; Cu Kα (λ = 1.5418 Å)).
Kinematic intensities with the Lorentz-polarization factor, no thermal factor.

Peak list (8 most intense, 2θ from 15° to 90°, most intense first)
Position (°2θ)  I_rel
30.90  100
33.59  60
32.07  56
31.11  51
55.15  44
26.76  41
29.81  38
35.92  33

Structural model:
```
Nd6Dy7
1.0
3.3310 1.9231 11.6911
-3.3310 1.9231 11.6911
0.0000 -3.8463 11.6911
Nd Dy
6 7
Direct
0.0479 0.0479 0.0479
0.1511 0.1511 0.1511
0.3334 0.3334 0.3334
0.6666 0.6666 0.6666
0.8489 0.8489 0.8489
0.9521 0.9521 0.9521
0.0840 0.5878 0.5878
0.4122 0.4122 0.9160
0.4122 0.9160 0.4122
0.5000 0.5000 0.5000
0.5878 0.0840 0.5878
0.5878 0.5878 0.0840
0.9160 0.4122 0.4122
```

=====

Structure and computed powder X-ray diffraction pattern of NdDyNi (a PBE-relaxed structure; Cu Kα (λ = 1.5418 Å)).
Kinematic intensities with the Lorentz-polarization factor, no thermal factor.

Peak list (8 most intense, 2θ from 15° to 90°, most intense first)
Position (°2θ)  I_rel
29.89  100
38.93  32
46.37  28
50.99  23
56.15  17
28.21  15
55.16  14
75.69  14

Structural model:
```
NdDyNi
1.0
3.9166 0.0000 0.0000
-1.9583 3.3919 0.0000
0.0000 0.0000 6.3279
Nd Dy Ni
1 1 1
Direct
0.0000 0.0000 0.0000
0.3333 0.6667 0.4937
0.6667 0.3333 0.2583
```